No. 1
Theoretical PXRD pattern of RbMgPH12O10 for a wavelength of 1.5418 Å, from a crystal structure in the Materials Project, relaxed with GGA-PBE.

The 10 most intense peaks (2θ = 15–90°), low angle first:
| 2θ/deg | I_rel | index |
| --- | --- | --- |
| 19.27 | 37 | 1 1 0 |
| 20.80 | 78 | 1 1 1 |
| 21.24 | 57 | 0 1 2 |
| 24.87 | 32 | 1 1 2 |
| 26.80 | 79 | 1 0 3 |
| 30.64 | 100 | 2 1 1 |
| 31.44 | 33 | 0 0 4 |
| 33.02 | 50 | 0 2 2 |
| 33.61 | 61 | 2 1 2 |
| 46.08 | 49 | 2 2 3 |

Structure:
a b c (Å): 6.922 6.171 11.380
angles (deg): 90.00 90.00 90.00
Element x y z (fractional)
Rb1 0.000 0.151 0.000
Rb2 0.500 0.849 0.500
Mg1 0.000 0.114 0.348
Mg2 0.500 0.886 0.848
P1 0.000 0.513 0.717
P2 0.500 0.487 0.217
H1 0.000 0.670 0.387
H2 0.000 0.774 0.518
H3 0.118 0.497 0.225
H4 0.171 0.895 0.708
H5 0.178 0.682 0.916
H6 0.199 0.293 0.536
H7 0.243 0.144 0.717
H8 0.257 0.856 0.217
H9 0.301 0.707 0.036
H10 0.322 0.318 0.416
H11 0.329 0.105 0.208
H12 0.382 0.503 0.725
H13 0.500 0.226 0.018
H14 0.500 0.330 0.887
H15 0.618 0.503 0.725
H16 0.671 0.105 0.208
H17 0.678 0.318 0.416
H18 0.699 0.707 0.036
H19 0.743 0.856 0.217
H20 0.757 0.144 0.717
H21 0.801 0.293 0.536
H22 0.822 0.682 0.916
H23 0.829 0.895 0.708
H24 0.882 0.497 0.225
O1 0.000 0.434 0.265
O2 0.000 0.537 0.852
O3 0.000 0.742 0.659
O4 0.000 0.807 0.431
O5 0.184 0.389 0.675
O6 0.219 0.010 0.235
O7 0.223 0.226 0.457
O8 0.277 0.774 0.957
O9 0.281 0.990 0.735
O10 0.316 0.611 0.175
O11 0.500 0.193 0.931
O12 0.500 0.258 0.159
O13 0.500 0.463 0.352
O14 0.500 0.566 0.765
O15 0.684 0.611 0.175
O16 0.719 0.990 0.735
O17 0.723 0.774 0.957
O18 0.777 0.226 0.457
O19 0.781 0.010 0.235
O20 0.816 0.389 0.675


No. 2
Theoretical PXRD pattern of Rb2MgP4H8O16 for a wavelength of 1.5418 Å, from a crystal structure in the Materials Project, relaxed with GGA-PBE.

The 10 most intense peaks (2θ = 15–90°), low angle first:
| 2θ/deg | I_rel | index |
| --- | --- | --- |
| 17.86 | 75 | 1 1 1 |
| 24.13 | 100 | 0 2 0 |
| 24.40 | 82 | 0 0 2 |
| 24.89 | 65 | 1 1 -1 |
| 27.56 | 35 | 2 1 1 |
| 30.13 | 73 | 2 -1 0 |
| 30.87 | 36 | 2 1 2 |
| 32.11 | 32 | 0 2 2 |
| 33.97 | 56 | 2 -1 2 |
| 36.94 | 42 | 0 2 -2 |

Structure:
a b c (Å): 6.964 7.465 7.820
angles (deg): 81.27 70.30 85.63
Element x y z (fractional)
Rb1 0.099 0.219 0.289
Rb2 0.901 0.781 0.711
Mg1 0.500 0.000 0.500
P1 0.233 0.306 0.758
P2 0.349 0.764 0.241
P3 0.651 0.236 0.759
P4 0.767 0.694 0.242
H1 0.085 0.767 0.076
H2 0.255 0.535 0.461
H3 0.377 0.677 0.711
H4 0.381 0.810 0.852
H5 0.619 0.190 0.148
H6 0.623 0.323 0.289
H7 0.745 0.465 0.539
H8 0.915 0.233 0.924
O1 0.039 0.293 0.936
O2 0.247 0.156 0.644
O3 0.250 0.574 0.329
O4 0.254 0.499 0.657
O5 0.272 0.841 0.084
O6 0.317 0.883 0.389
O7 0.409 0.275 0.856
O8 0.441 0.787 0.723
O9 0.559 0.213 0.277
O10 0.591 0.725 0.144
O11 0.683 0.117 0.611
O12 0.728 0.159 0.916
O13 0.746 0.501 0.343
O14 0.750 0.426 0.671
O15 0.753 0.844 0.356
O16 0.961 0.707 0.064


No. 3
Theoretical PXRD pattern of MgSb2P2H2O10 for a wavelength of 1.5418 Å, from a crystal structure in the Materials Project, relaxed with GGA-PBE.

The 10 most intense peaks (2θ = 15–90°), low angle first:
| 2θ/deg | I_rel | index |
| --- | --- | --- |
| 16.35 | 51 | 0 1 -1 |
| 18.22 | 83 | 1 0 -1 |
| 22.22 | 40 | 1 -1 0 |
| 24.40 | 66 | 0 1 1 |
| 24.81 | 100 | 1 0 1 |
| 26.74 | 66 | 1 1 -2 |
| 33.68 | 33 | 1 -1 2 |
| 35.32 | 42 | 1 2 -1 |
| 37.68 | 32 | 1 0 -3 |
| 40.91 | 34 | 1 2 -3 |

Structure:
a b c (Å): 5.339 5.927 7.778
angles (deg): 111.46 106.34 91.09
Element x y z (fractional)
Mg1 0.000 0.000 0.000
Sb1 0.000 0.500 0.000
Sb2 0.500 0.000 0.500
P1 0.394 0.627 0.756
P2 0.606 0.373 0.244
H1 0.045 0.115 0.702
H2 0.955 0.885 0.298
O1 0.097 0.891 0.241
O2 0.231 0.731 0.901
O3 0.306 0.288 0.125
O4 0.320 0.738 0.601
O5 0.340 0.344 0.679
O6 0.660 0.656 0.321
O7 0.680 0.262 0.399
O8 0.694 0.712 0.875
O9 0.769 0.269 0.099
O10 0.903 0.109 0.759


No. 4
Theoretical PXRD pattern of MgSb2P2H2O10 for a wavelength of 1.5418 Å, from a crystal structure in the Materials Project, relaxed with GGA-PBE.

The 10 most intense peaks (2θ = 15–90°), low angle first:
| 2θ/deg | I_rel | index |
| --- | --- | --- |
| 16.14 | 65 | 0 1 0 |
| 19.02 | 78 | 1 0 1 |
| 22.07 | 50 | 1 1 1 |
| 22.25 | 35 | 0 1 -1 |
| 22.53 | 99 | 1 0 -1 |
| 23.96 | 100 | 0 1 2 |
| 27.72 | 67 | 1 -1 1 |
| 29.09 | 43 | 1 1 -1 |
| 33.98 | 36 | 1 2 1 |
| 34.52 | 37 | 1 1 3 |

Structure:
a b c (Å): 5.207 5.763 8.320
angles (deg): 72.70 78.04 83.20
Element x y z (fractional)
Mg1 0.000 0.000 0.000
Sb1 0.415 0.555 0.369
Sb2 0.909 0.602 0.824
P1 0.363 0.197 0.101
P2 0.438 0.954 0.655
H1 0.941 0.719 0.441
H2 0.993 0.540 0.127
O1 0.047 0.578 0.497
O2 0.147 0.906 0.764
O3 0.233 0.297 0.937
O4 0.248 0.939 0.181
O5 0.254 0.366 0.219
O6 0.448 0.228 0.567
O7 0.515 0.794 0.534
O8 0.617 0.886 0.794
O9 0.665 0.189 0.058
O10 0.875 0.663 0.060